# 1
The following is a calculated PXRD pattern of Sn4BiPb8. It was derived from a GGA-PBE-relaxed structure, using λ = 1.5418 Å (Cu Kα).

Peak list (10 most intense, 2θ from 5° to 70°, low angle first)
2θ = 30.57°, I 17; 2θ = 30.95°, I 27; 2θ = 31.44°, I 100; 2θ = 32.57°, I 20; 2θ = 34.26°, I 14; 2θ = 34.64°, I 44; 2θ = 35.38°, I 17; 2θ = 37.18°, I 16; 2θ = 53.03°, I 16; 2θ = 57.42°, I 14

Unit cell a=5.960 b=3.454 c=19.971 alpha=90.00 beta=92.65 gamma=90.00
Space group Pm (No. 6)
One atom of each set of equivalent atoms:
Sn1 0.000 0.000 0.000 (multiplicity 1)
Sn2 0.216 0.500 0.710 (multiplicity 1)
Sn3 0.511 0.500 0.582 (multiplicity 1)
Sn4 0.772 0.000 0.266 (multiplicity 1)
Bi1 0.302 0.500 0.288 (multiplicity 1)
Pb1 0.007 0.500 0.142 (multiplicity 1)
Pb2 0.344 0.000 0.441 (multiplicity 1)
Pb3 0.489 0.000 0.905 (multiplicity 1)
Pb4 0.500 0.500 0.052 (multiplicity 1)
Pb5 0.701 0.000 0.724 (multiplicity 1)
Pb6 0.835 0.500 0.407 (multiplicity 1)
Pb7 0.992 0.500 0.858 (multiplicity 1)
Pb8 0.995 0.000 0.577 (multiplicity 1)

***

# 2
The following is a calculated PXRD pattern of Sn4BiPb4. It was derived from a GGA-PBE-relaxed structure, using λ = 1.5418 Å (Cu Kα).

Peak list (10 most intense, 2θ from 5° to 70°, low angle first)
2θ = 30.89°, I 62; 2θ = 31.23°, I 48; 2θ = 31.78°, I 100; 2θ = 32.93°, I 17; 2θ = 33.83°, I 47; 2θ = 37.23°, I 33; 2θ = 38.13°, I 25; 2θ = 50.92°, I 26; 2θ = 54.14°, I 19; 2θ = 63.76°, I 14

Unit cell a=3.489 b=8.735 c=9.047 alpha=91.69 beta=97.24 gamma=95.56
Space group P-1 (No. 2)
One atom of each set of equivalent atoms:
Sn1 0.109 0.153 0.268 (multiplicity 2)
Sn2 0.293 0.836 0.422 (multiplicity 2)
Bi1 0.000 0.500 0.000 (multiplicity 1)
Pb1 0.335 0.511 0.669 (multiplicity 2)
Pb2 0.370 0.164 0.914 (multiplicity 2)

***

# 3
The following is a calculated PXRD pattern of Sn2Bi3Pb4. It was derived from a GGA-PBE-relaxed structure, using λ = 1.5418 Å (Cu Kα).

Peak list (10 most intense, 2θ from 5° to 70°, low angle first)
2θ = 28.70°, I 57; 2θ = 30.99°, I 100; 2θ = 32.01°, I 43; 2θ = 33.71°, I 43; 2θ = 36.77°, I 37; 2θ = 40.90°, I 18; 2θ = 44.53°, I 20; 2θ = 52.86°, I 14; 2θ = 56.42°, I 15; 2θ = 58.49°, I 16

Unit cell a=15.272 b=11.183 c=6.686 alpha=90.00 beta=92.17 gamma=90.00
Space group C2/c (No. 15)
One atom of each set of equivalent atoms:
Sn1 0.110 0.146 0.176 (multiplicity 8)
Bi1 0.000 0.106 0.750 (multiplicity 4)
Bi2 0.173 0.374 0.922 (multiplicity 8)
Pb1 0.053 0.361 0.492 (multiplicity 8)
Pb2 0.214 0.130 0.625 (multiplicity 8)